Structure and computed X-ray diffraction stick pattern of BaNa2NpS4 (a crystal structure in Alexandria, relaxed with PBE; copper Kα).
Intensities are scaled so that the largest is 100.

Structure:
```
BaNa2NpS4
1.0
5.702 0.000 0.000
0.000 5.702 0.000
0.000 0.000 13.437
Ba Na Np S
2 4 2 8
Cartesian
0.000 0.000 0.000 Ba
2.851 2.851 6.718 Ba
0.000 0.000 6.718 Na
0.000 2.851 3.359 Na
2.851 0.000 10.078 Na
2.851 2.851 0.000 Na
0.000 2.851 10.078 Np
2.851 0.000 3.359 Np
0.000 0.000 3.293 S
0.000 0.000 10.144 S
0.000 2.851 7.471 S
0.000 2.851 12.684 S
2.851 0.000 0.753 S
2.851 0.000 5.966 S
2.851 2.851 3.425 S
2.851 2.851 10.011 S
```

Top 6 peaks for 2θ from 10° to 90°, most intense first:
- 16.9°, d = 5.249 Å, I = 100, hkl 1 0 1
- 31.4°, d = 2.851 Å, I = 52, hkl 2 0 0
- 25.8°, d = 3.457 Å, I = 48, hkl 1 1 2
- 41.5°, d = 2.174 Å, I = 38, hkl 2 0 4
- 26.5°, d = 3.359 Å, I = 32, hkl 0 0 4
- 35.8°, d = 2.505 Å, I = 32, hkl 2 1 1